Diffraction record for RbBe4As3. The X-ray powder pattern is computed, not measured: it uses a structure optimized by DFT (GGA-PBE) and Cu Kα.
No peak broadening, texture or thermal motion is included.

Atomic structure:
a = 3.7918 Å, b = 3.7918 Å, c = 10.1712 Å
α = 90.00°, β = 90.00°, γ = 90.00°
Sites, in units of the cell vectors:
Rb: 0.0000 0.0000 0.0000
Be: 0.0000 0.5000 0.3553
Be: 0.0000 0.5000 0.6447
Be: 0.5000 0.0000 0.3553
Be: 0.5000 0.0000 0.6447
As: 0.0000 0.0000 0.5000
As: 0.5000 0.5000 0.2332
As: 0.5000 0.5000 0.7668

Peak list (10 most intense, 2θ = 15–90°, sorted by position)
(hkl)  two_theta  I/Imax
1 0 2  29.4  1000
1 1 0  33.4  308
0 0 4  35.3  123
2 0 0  48.0  148
1 1 4  49.4  245
2 1 2  57.3  294
1 0 6  59.8  108
2 0 4  61.0  99
3 0 2  77.9  60
3 1 0  80.0  142